# KInW4O12
Theoretical X-ray diffraction stick pattern, Cu Kα X-rays. Input: a crystal structure in Alexandria, relaxed with GGA+U.
Intensities are scaled so that the largest is 100.

Cell and atoms:
```
data_KInW4O12
_space_group_name_H-M_alt 'A m m 2'
_space_group_IT_number 38
_cell_length_a 7.8966
_cell_length_b 7.8787
_cell_length_c 7.7186
_cell_angle_alpha 90.00
_cell_angle_beta 90.00
_cell_angle_gamma 90.00
loop_
_space_group_symop_operation_xyz
'x,y,z'
'-x,-y,z'
'-x,y,z'
'x,-y,z'
'x,y+1/2,z+1/2'
'-x,-y+1/2,z+1/2'
'-x,y+1/2,z+1/2'
'x,-y+1/2,z+1/2'
loop_
_atom_site_label
_atom_site_type_symbol
_atom_site_fract_x
_atom_site_fract_y
_atom_site_fract_z
_atom_site_occupancy
K1 K 0.0000 0.0000 0.0000 1
In1 In 0.5000 0.0000 0.5261 1
W1 W 0.2482 0.2486 0.7600 1
O1 O 0.0000 0.2075 0.2776 1
O2 O 0.2132 0.0000 0.7139 1
O3 O 0.2565 0.2057 0.0104 1
O4 O 0.3103 0.0000 0.3202 1
O5 O 0.5000 0.1947 0.7262 1
```

Principal peaks in the range 2θ = 5–70°, in order of rising 2θ:
two_theta  d [Å]  I (rel.)  index
19.64  4.521  14  1 1 1
22.54  3.944  73  2 0 0
23.05  3.859  35  0 0 2
32.10  2.789  54  2 2 0
32.46  2.758  100  0 2 2
39.88  2.260  16  2 2 2
45.97  1.974  15  4 0 0
51.84  1.764  17  4 2 0
52.82  1.733  16  0 2 4
57.45  1.604  46  2 4 2
58.13  1.587  22  2 2 4
67.97  1.379  16  4 0 4